This entry pairs a crystal structure of KSm2IrO8 with its simulated powder diffractogram. Radiation: copper Kα. Structure: a crystal structure in Alexandria, relaxed with GGA-PBE.
Peak positions follow from Bragg's law for the DFT cell and can differ from measured ones.

Top 10 peaks for 10° ≤ 2θ ≤ 80°, in order of falling intensity:
| 2θ/deg | I_rel |
| --- | --- |
| 12.60 | 1000 |
| 30.52 | 773 |
| 28.84 | 635 |
| 27.61 | 504 |
| 33.80 | 472 |
| 27.79 | 415 |
| 22.20 | 383 |
| 44.91 | 285 |
| 33.05 | 279 |
| 45.12 | 244 |

Crystal structure
a b c (Å): 4.206 5.303 7.291
angles (deg): 89.93 74.49 89.62
Space group P-1 (No. 2)
Asymmetric unit:
K1 0.000 0.000 0.000 (multiplicity 1)
Sm1 0.377 0.510 0.289 (multiplicity 2)
Ir1 0.000 0.000 0.500 (multiplicity 1)
O1 0.174 0.496 0.003 (multiplicity 2)
O2 0.185 0.305 0.592 (multiplicity 2)
O3 0.202 0.769 0.630 (multiplicity 2)
O4 0.354 0.971 0.271 (multiplicity 2)

This entry pairs a crystal structure of BePtCl2 with its simulated powder diffractogram. Radiation: copper Kα. Structure: a crystal structure in Alexandria, relaxed with GGA-PBE.
Peak positions follow from Bragg's law for the DFT cell and can differ from measured ones.

Top 10 peaks for 10° ≤ 2θ ≤ 80°, in order of falling intensity:
| 2θ/deg | I_rel |
| --- | --- |
| 12.06 | 1000 |
| 29.30 | 466 |
| 36.31 | 316 |
| 26.61 | 311 |
| 37.98 | 259 |
| 45.94 | 237 |
| 39.99 | 223 |
| 53.88 | 122 |
| 63.36 | 121 |
| 74.23 | 113 |

Crystal structure
a b c (Å): 3.350 3.350 7.337
angles (deg): 90.00 90.00 90.00
Space group P4mm (No. 99)
Asymmetric unit:
Be1 0.000 0.000 0.000 (multiplicity 1)
Pt1 0.500 0.500 0.948 (multiplicity 1)
Cl1 0.000 0.000 0.718 (multiplicity 1)
Cl2 0.500 0.500 0.260 (multiplicity 1)

This entry pairs a crystal structure of PrTlPb2I8 with its simulated powder diffractogram. Radiation: copper Kα. Structure: a crystal structure in Alexandria, relaxed with GGA-PBE.
Peak positions follow from Bragg's law for the DFT cell and can differ from measured ones.

Top 10 peaks for 10° ≤ 2θ ≤ 80°, in order of falling intensity:
| 2θ/deg | I_rel |
| --- | --- |
| 32.27 | 1000 |
| 38.83 | 990 |
| 32.48 | 922 |
| 24.51 | 876 |
| 16.28 | 858 |
| 21.81 | 819 |
| 16.48 | 804 |
| 24.64 | 661 |
| 36.87 | 564 |
| 25.65 | 527 |

Crystal structure
a b c (Å): 7.417 9.752 7.911
angles (deg): 90.00 90.69 90.00
Space group P2/m (No. 10)
Asymmetric unit:
Pr1 0.000 0.000 0.000 (multiplicity 1)
Tl1 0.000 0.500 0.000 (multiplicity 1)
Pb1 0.500 0.254 0.500 (multiplicity 2)
I1 0.243 0.000 0.669 (multiplicity 2)
I2 0.250 0.229 0.156 (multiplicity 4)
I3 0.264 0.500 0.639 (multiplicity 2)

This entry pairs a crystal structure of VSi3Ru4 with its simulated powder diffractogram. Radiation: copper Kα. Structure: a crystal structure in Alexandria, relaxed with GGA-PBE.
Peak positions follow from Bragg's law for the DFT cell and can differ from measured ones.

Top 10 peaks for 10° ≤ 2θ ≤ 80°, in order of falling intensity:
| 2θ/deg | I_rel |
| --- | --- |
| 43.28 | 1000 |
| 43.39 | 499 |
| 30.30 | 344 |
| 79.54 | 321 |
| 30.16 | 172 |
| 63.03 | 159 |
| 79.32 | 159 |
| 53.74 | 137 |
| 71.49 | 115 |
| 62.70 | 79 |

Crystal structure
a b c (Å): 4.171 4.171 5.927
angles (deg): 90.00 90.00 90.00
Space group P4/mmm (No. 123)
Asymmetric unit:
V1 0.000 0.000 0.000 (multiplicity 1)
Si1 0.000 0.000 0.500 (multiplicity 1)
Si2 0.500 0.500 0.000 (multiplicity 1)
Si3 0.500 0.500 0.500 (multiplicity 1)
Ru1 0.000 0.500 0.257 (multiplicity 4)

This entry pairs a crystal structure of Y8IrAu2 with its simulated powder diffractogram. Radiation: copper Kα. Structure: a crystal structure in Alexandria, relaxed with GGA-PBE.
Peak positions follow from Bragg's law for the DFT cell and can differ from measured ones.

Top 10 peaks for 10° ≤ 2θ ≤ 80°, in order of falling intensity:
| 2θ/deg | I_rel |
| --- | --- |
| 32.72 | 1000 |
| 32.03 | 842 |
| 17.89 | 490 |
| 35.56 | 432 |
| 30.83 | 366 |
| 19.99 | 346 |
| 39.43 | 309 |
| 29.05 | 286 |
| 41.72 | 281 |
| 36.23 | 252 |

Crystal structure
a b c (Å): 7.027 17.767 5.679
angles (deg): 90.00 119.17 90.00
Space group Cm (No. 8)
Asymmetric unit:
Y1 0.000 0.000 0.000 (multiplicity 2)
Y2 0.001 0.500 0.834 (multiplicity 2)
Y3 0.049 0.116 0.548 (multiplicity 4)
Y4 0.250 0.299 0.917 (multiplicity 4)
Y5 0.454 0.115 0.287 (multiplicity 4)
Ir1 0.252 0.500 0.416 (multiplicity 2)
Au1 0.252 0.247 0.418 (multiplicity 4)

This entry pairs a crystal structure of BeGaFe with its simulated powder diffractogram. Radiation: copper Kα. Structure: a crystal structure in Alexandria, relaxed with GGA-PBE.
Peak positions follow from Bragg's law for the DFT cell and can differ from measured ones.

Top 10 peaks for 10° ≤ 2θ ≤ 80°, in order of falling intensity:
| 2θ/deg | I_rel |
| --- | --- |
| 46.15 | 1000 |
| 33.60 | 632 |
| 45.44 | 274 |
| 45.57 | 272 |
| 21.58 | 239 |
| 66.31 | 166 |
| 43.98 | 122 |
| 65.08 | 71 |
| 65.19 | 71 |
| 68.33 | 63 |

Crystal structure
a b c (Å): 3.992 3.981 8.236
angles (deg): 90.00 90.00 90.00
Space group Ama2 (No. 40)
Asymmetric unit:
Be1 0.250 0.249 0.000 (multiplicity 4)
Ga1 0.250 0.250 0.307 (multiplicity 4)
Fe1 0.250 0.249 0.622 (multiplicity 4)

This entry pairs a crystal structure of Tl5Hg5Sb with its simulated powder diffractogram. Radiation: copper Kα. Structure: a crystal structure in Alexandria, relaxed with GGA-PBE.
Peak positions follow from Bragg's law for the DFT cell and can differ from measured ones.

Top 10 peaks for 10° ≤ 2θ ≤ 80°, in order of falling intensity:
| 2θ/deg | I_rel |
| --- | --- |
| 29.28 | 1000 |
| 30.48 | 989 |
| 34.36 | 467 |
| 36.23 | 445 |
| 36.03 | 415 |
| 47.89 | 399 |
| 31.49 | 386 |
| 53.43 | 360 |
| 38.76 | 355 |
| 63.44 | 326 |

Crystal structure
a b c (Å): 5.8649 5.8649 11.4460
angles (deg): 90.00 90.00 120.00
Space group P-6m2 (No. 187)
Asymmetric unit:
Tl1 0.0000 0.0000 0.0000 (multiplicity 1)
Tl2 0.3333 0.6667 0.2925 (multiplicity 2)
Tl3 0.6667 0.3333 0.1518 (multiplicity 2)
Hg1 0.0000 0.0000 0.2654 (multiplicity 2)
Hg2 0.3384 0.1692 0.5000 (multiplicity 3)
Sb1 0.3333 0.6667 0.0000 (multiplicity 1)

This entry pairs a crystal structure of LiNbPb2O6 with its simulated powder diffractogram. Radiation: copper Kα. Structure: a crystal structure in Alexandria, relaxed with GGA-PBE.
Peak positions follow from Bragg's law for the DFT cell and can differ from measured ones.

Top 10 peaks for 10° ≤ 2θ ≤ 80°, in order of falling intensity:
| 2θ/deg | I_rel |
| --- | --- |
| 30.35 | 1000 |
| 30.91 | 993 |
| 22.35 | 723 |
| 20.67 | 490 |
| 32.21 | 387 |
| 31.42 | 362 |
| 45.62 | 343 |
| 18.69 | 320 |
| 42.06 | 247 |
| 37.91 | 224 |

Crystal structure
a b c (Å): 5.560 5.694 10.120
angles (deg): 90.00 121.89 90.00
Space group P2_1/c (No. 14)
Asymmetric unit:
Li1 0.000 0.000 0.000 (multiplicity 2)
Nb1 0.500 0.000 0.500 (multiplicity 2)
Pb1 0.208 0.046 0.735 (multiplicity 4)
O1 0.162 0.197 0.451 (multiplicity 4)
O2 0.230 0.720 0.413 (multiplicity 4)
O3 0.417 0.078 0.282 (multiplicity 4)

This entry pairs a crystal structure of Rb2LiAuF6 with its simulated powder diffractogram. Radiation: copper Kα. Structure: a crystal structure in Alexandria, relaxed with GGA-PBE.
Peak positions follow from Bragg's law for the DFT cell and can differ from measured ones.

Top 10 peaks for 10° ≤ 2θ ≤ 80°, in order of falling intensity:
| 2θ/deg | I_rel |
| --- | --- |
| 28.50 | 1000 |
| 17.64 | 914 |
| 29.96 | 424 |
| 52.30 | 374 |
| 42.88 | 332 |
| 32.41 | 327 |
| 34.98 | 300 |
| 44.71 | 234 |
| 63.66 | 227 |
| 58.99 | 223 |

Crystal structure
a b c (Å): 5.965 5.965 9.352
angles (deg): 90.00 90.00 90.00
Space group I4/mmm (No. 139)
Asymmetric unit:
Rb1 0.000 0.500 0.250 (multiplicity 4)
Li1 0.000 0.000 0.000 (multiplicity 2)
Au1 0.000 0.000 0.500 (multiplicity 2)
F1 0.000 0.000 0.202 (multiplicity 4)
F2 0.234 0.234 0.500 (multiplicity 8)

This entry pairs a crystal structure of BaCeSi2Se8 with its simulated powder diffractogram. Radiation: copper Kα. Structure: a crystal structure in Alexandria, relaxed with GGA-PBE.
Peak positions follow from Bragg's law for the DFT cell and can differ from measured ones.

Top 10 peaks for 10° ≤ 2θ ≤ 80°, in order of falling intensity:
| 2θ/deg | I_rel |
| --- | --- |
| 33.58 | 1000 |
| 29.57 | 765 |
| 49.78 | 385 |
| 46.64 | 376 |
| 24.24 | 335 |
| 27.11 | 242 |
| 16.13 | 175 |
| 57.59 | 168 |
| 61.39 | 166 |
| 28.12 | 136 |

Crystal structure
a b c (Å): 6.3457 6.3457 9.8665
angles (deg): 90.00 90.00 120.00
Space group P-3 (No. 147)
Asymmetric unit:
Ba1 0.0000 0.0000 0.0000 (multiplicity 1)
Ce1 0.0000 0.0000 0.5000 (multiplicity 1)
Si1 0.3333 0.6667 0.7619 (multiplicity 2)
Se1 0.0209 0.6713 0.3062 (multiplicity 6)
Se2 0.3333 0.6667 0.9918 (multiplicity 2)

This entry pairs a crystal structure of YHo2ThN4 with its simulated powder diffractogram. Radiation: copper Kα. Structure: a crystal structure in Alexandria, relaxed with GGA-PBE.
Peak positions follow from Bragg's law for the DFT cell and can differ from measured ones.

Top 10 peaks for 10° ≤ 2θ ≤ 80°, in order of falling intensity:
| 2θ/deg | I_rel |
| --- | --- |
| 31.14 | 1000 |
| 36.07 | 479 |
| 52.03 | 331 |
| 61.81 | 302 |
| 36.20 | 237 |
| 64.95 | 167 |
| 51.94 | 166 |
| 61.98 | 150 |
| 15.44 | 64 |
| 76.53 | 52 |

Crystal structure
a b c (Å): 6.083 3.524 6.084
angles (deg): 90.00 109.33 90.00
Space group P2/m (No. 10)
Asymmetric unit:
Y1 0.000 0.000 0.000 (multiplicity 1)
Ho1 0.000 0.500 0.500 (multiplicity 1)
Ho2 0.500 0.000 0.500 (multiplicity 1)
Th1 0.500 0.500 0.000 (multiplicity 1)
N1 0.247 0.000 0.746 (multiplicity 2)
N2 0.251 0.500 0.252 (multiplicity 2)

This entry pairs a crystal structure of Pm5SiBi2 with its simulated powder diffractogram. Radiation: copper Kα. Structure: a crystal structure in Alexandria, relaxed with GGA-PBE.
Peak positions follow from Bragg's law for the DFT cell and can differ from measured ones.

Top 10 peaks for 10° ≤ 2θ ≤ 80°, in order of falling intensity:
| 2θ/deg | I_rel |
| --- | --- |
| 28.84 | 1000 |
| 23.06 | 793 |
| 33.05 | 778 |
| 44.42 | 711 |
| 37.25 | 467 |
| 25.61 | 417 |
| 31.24 | 416 |
| 27.81 | 334 |
| 35.32 | 306 |
| 48.28 | 257 |

Crystal structure
a b c (Å): 6.191 13.201 14.257
angles (deg): 90.00 90.00 90.00
Space group Cmcm (No. 63)
Asymmetric unit:
Pm1 0.000 0.055 0.121 (multiplicity 8)
Pm2 0.000 0.315 0.750 (multiplicity 4)
Pm3 0.000 0.361 0.092 (multiplicity 8)
Si1 0.000 0.221 0.250 (multiplicity 4)
Bi1 0.000 0.181 0.569 (multiplicity 8)

This entry pairs a crystal structure of Ba11AgIr2 with its simulated powder diffractogram. Radiation: copper Kα. Structure: a crystal structure in Alexandria, relaxed with GGA-PBE.
Peak positions follow from Bragg's law for the DFT cell and can differ from measured ones.

Top 10 peaks for 10° ≤ 2θ ≤ 80°, in order of falling intensity:
| 2θ/deg | I_rel |
| --- | --- |
| 28.59 | 1000 |
| 14.96 | 816 |
| 14.18 | 756 |
| 28.82 | 536 |
| 28.08 | 514 |
| 26.48 | 504 |
| 11.13 | 500 |
| 29.96 | 371 |
| 16.70 | 321 |
| 33.84 | 279 |

Crystal structure
a b c (Å): 14.219 14.319 15.899
angles (deg): 90.00 90.00 90.00
Space group Ibam (No. 72)
Asymmetric unit:
Ba1 0.000 0.000 0.000 (multiplicity 4)
Ba2 0.070 0.279 0.137 (multiplicity 16)
Ba3 0.190 0.194 0.500 (multiplicity 8)
Ba4 0.216 0.435 0.365 (multiplicity 16)
Ag1 0.000 0.500 0.250 (multiplicity 4)
Ir1 0.162 0.159 0.000 (multiplicity 8)